This entry pairs a crystal structure of Cs2BeSnS4 with its theoretical PXRD pattern. Radiation: Cu Kα X-rays. Structure: DFT lattice parameters and positions (GGA-PBE).

Crystal structure
Cell lengths 5.882, 14.287, 25.073 Å; angles 90.00, 90.00, 90.00 degrees
Space group Fddd (No. 70, origin choice 2)
Inequivalent atoms, fractional coordinates:
Cs 0.125 0.125 0.303 x16
Be 0.125 0.125 0.625 x8
Sn 0.125 0.125 0.125 x8
S 0.097 0.288 0.826 x32

Largest 10 diffraction maxima, by angle, 2θ = 10–80°:
hkl, 2theta, Rel. int.
1 1 1, 16.7, 69
1 1 5, 24.1, 50
1 3 1, 24.3, 63
0 2 6, 24.7, 100
0 4 0, 24.9, 38
1 3 3, 26.3, 44
1 3 5, 30.0, 100
2 2 0, 32.9, 43
2 0 6, 37.4, 44
2 4 6, 45.5, 38